Calculated powder XRD pattern
Compound: Pa3ZnCo2Sn3
Radiation: copper Kα
Structure: the PBE geometry in Alexandria

Structure:
```
data_Pa3ZnCo2Sn3
_chemical_formula_sum 'Pa3 Zn1 Co2 Sn3'
_cell_length_a 7.3895
_cell_length_b 7.3895
_cell_length_c 3.9644
_cell_angle_alpha 90.00
_cell_angle_beta 90.00
_cell_angle_gamma 120.00
_space_group_name_H-M_alt 'P -6 2 m'
_space_group_IT_number 189
_space_group_name_Hall 'P -6 -2'
loop_
_atom_site_label
_atom_site_type_symbol
_atom_site_fract_x
_atom_site_fract_y
_atom_site_fract_z
_atom_site_occupancy
Pa1 Pa 0.0000 0.3989 0.0000 1
Zn1 Zn 0.0000 0.0000 0.0000 1
Co1 Co 0.3333 0.6667 0.5000 1
Sn1 Sn 0.0000 0.7280 0.5000 1
```

Top 6 peaks for 10 to 90 degrees two-theta, low angle first:
- 33.14°, d = 2.703 Å, I = 100, hkl 1 1 1
- 36.07°, d = 2.490 Å, I = 48, hkl 2 0 1
- 37.17°, d = 2.419 Å, I = 31, hkl 2 1 0
- 42.37°, d = 2.133 Å, I = 26, hkl 3 0 0
- 56.83°, d = 1.620 Å, I = 19, hkl 3 1 1
- 68.10°, d = 1.377 Å, I = 20, hkl 3 2 1

Calculated powder XRD pattern
Compound: W2C
Radiation: copper Kα
Structure: the PBE geometry in Alexandria

Structure:
```
data_W2C
_chemical_formula_sum 'W6 C3'
_cell_length_a 2.8943
_cell_length_b 2.8943
_cell_length_c 15.8318
_cell_angle_alpha 90.00
_cell_angle_beta 90.00
_cell_angle_gamma 120.00
_space_group_name_H-M_alt 'R 3 m'
_space_group_IT_number 160
_space_group_name_Hall 'R 3 -2"'
loop_
_atom_site_label
_atom_site_type_symbol
_atom_site_fract_x
_atom_site_fract_y
_atom_site_fract_z
_atom_site_occupancy
W1 W 0.0000 0.0000 0.0000 1
W2 W 0.0000 0.0000 0.1789 1
C1 C 0.0000 0.0000 0.7558 1
```

Top 6 peaks for 10 to 90 degrees two-theta, low angle first:
- 33.98°, d = 2.639 Å, I = 51, hkl 0 0 6
- 36.29°, d = 2.476 Å, I = 100, hkl 1 0 1
- 42.70°, d = 2.118 Å, I = 38, hkl 1 0 4
- 46.19°, d = 1.965 Å, I = 68, hkl 0 1 5
- 64.38°, d = 1.447 Å, I = 29, hkl 1 1 0
- 74.83°, d = 1.269 Å, I = 33, hkl 1 1 6

Calculated powder XRD pattern
Compound: Cu5Pt4
Radiation: copper Kα
Structure: the PBE geometry in Alexandria

Structure:
```
data_Cu5Pt4
_chemical_formula_sum 'Cu10 Pt8'
_cell_length_a 8.0143
_cell_length_b 8.0143
_cell_length_c 3.8385
_cell_angle_alpha 90.00
_cell_angle_beta 90.00
_cell_angle_gamma 90.00
_space_group_name_H-M_alt 'I 4/m m m'
_space_group_IT_number 139
_space_group_name_Hall '-I 4 2'
loop_
_atom_site_label
_atom_site_type_symbol
_atom_site_fract_x
_atom_site_fract_y
_atom_site_fract_z
_atom_site_occupancy
Cu1 Cu 0.0000 0.0000 0.0000 1
Cu2 Cu 0.1635 0.1635 0.5000 1
Pt1 Pt 0.0000 0.3227 0.0000 1
```

Top 6 peaks for 10 to 90 degrees two-theta, low angle first:
- 34.23°, d = 2.620 Å, I = 19, hkl 2 1 1
- 41.17°, d = 2.193 Å, I = 100, hkl 3 0 1
- 47.37°, d = 1.919 Å, I = 17, hkl 0 0 2
- 48.17°, d = 1.889 Å, I = 31, hkl 3 3 0
- 69.87°, d = 1.346 Å, I = 20, hkl 3 3 2
- 85.04°, d = 1.141 Å, I = 23, hkl 6 3 1

Calculated powder XRD pattern
Compound: CsCe2NpO8
Radiation: copper Kα
Structure: the PBE geometry in Alexandria

Structure:
```
data_CsCe2NpO8
_chemical_formula_sum 'Cs1 Ce2 Np1 O8'
_cell_length_a 5.2440
_cell_length_b 5.3814
_cell_length_c 7.7352
_cell_angle_alpha 88.57
_cell_angle_beta 89.15
_cell_angle_gamma 89.99
_space_group_name_H-M_alt 'P -1'
_space_group_IT_number 2
_space_group_name_Hall '-P 1'
loop_
_atom_site_label
_atom_site_type_symbol
_atom_site_fract_x
_atom_site_fract_y
_atom_site_fract_z
_atom_site_occupancy
Cs1 Cs 0.0000 0.0000 0.0000 1
Ce1 Ce 0.4990 0.4975 0.7318 1
Np1 Np 0.0000 0.0000 0.5000 1
O1 O 0.1984 0.1609 0.6715 1
O2 O 0.2077 0.1608 0.3190 1
O3 O 0.2911 0.5785 0.9306 1
O4 O 0.2948 0.6778 0.4995 1
```

Top 6 peaks for 10 to 90 degrees two-theta, low angle first:
- 23.70°, d = 3.755 Å, I = 100, hkl 1 -1 0
- 28.08°, d = 3.177 Å, I = 23, hkl 0 1 2
- 28.48°, d = 3.134 Å, I = 28, hkl 1 0 2
- 28.77°, d = 3.103 Å, I = 24, hkl 0 1 -2
- 28.90°, d = 3.090 Å, I = 23, hkl 1 0 -2
- 33.31°, d = 2.690 Å, I = 18, hkl 0 2 0

Calculated powder XRD pattern
Compound: Y3ScIr4
Radiation: copper Kα
Structure: the PBE geometry in Alexandria

Structure:
```
data_Y3ScIr4
_chemical_formula_sum 'Y3 Sc1 Ir4'
_cell_length_a 3.2897
_cell_length_b 3.2897
_cell_length_c 14.2795
_cell_angle_alpha 90.00
_cell_angle_beta 90.00
_cell_angle_gamma 90.00
_space_group_name_H-M_alt 'P 4/m m m'
_space_group_IT_number 123
_space_group_name_Hall '-P 4 2'
loop_
_atom_site_label
_atom_site_type_symbol
_atom_site_fract_x
_atom_site_fract_y
_atom_site_fract_z
_atom_site_occupancy
Y1 Y 0.0000 0.0000 0.0000 1
Y2 Y 0.0000 0.0000 0.2568 1
Sc1 Sc 0.0000 0.0000 0.5000 1
Ir1 Ir 0.5000 0.5000 0.1289 1
Ir2 Ir 0.5000 0.5000 0.3885 1
```

Top 6 peaks for 10 to 90 degrees two-theta, low angle first:
- 27.11°, d = 3.290 Å, I = 19, hkl 1 0 0
- 37.17°, d = 2.419 Å, I = 100, hkl 1 0 4
- 38.71°, d = 2.326 Å, I = 47, hkl 1 1 0
- 55.90°, d = 1.645 Å, I = 16, hkl 2 0 0
- 65.97°, d = 1.416 Å, I = 16, hkl 1 1 8
- 69.05°, d = 1.360 Å, I = 32, hkl 2 1 4